Computed powder diffraction line list
Compound: Li2PrP2
Radiation: Cu Kα (weighted mean of Kα1 and Kα2)
Structure: a crystal structure in Alexandria, relaxed with GGA-PBE
Neutral-atom scattering factors, no anomalous dispersion.

Structural model:
```
data_Li2PrP2
_chemical_formula_sum 'Li4 Pr2 P4'
_cell_length_a 4.189
_cell_length_b 4.189
_cell_length_c 10.002
_cell_angle_alpha 90.00
_cell_angle_beta 90.00
_cell_angle_gamma 90.00
_symmetry_space_group_name_H-M 'P 4/n m m'
_symmetry_Int_Tables_number 129
loop_
_symmetry_equiv_pos_as_xyz
'x,y,z'
'-x,-y,-z'
'-y+1/2,x,z'
'y+1/2,-x,-z'
'-x+1/2,-y+1/2,z'
'x+1/2,y+1/2,-z'
'y,-x+1/2,z'
'-y,x+1/2,-z'
'x+1/2,-y,-z'
'-x+1/2,y,z'
'-y,-x,-z'
'y,x,z'
'-x,y+1/2,-z'
'x,-y+1/2,z'
'y+1/2,x+1/2,-z'
'-y+1/2,-x+1/2,z'
loop_
_atom_site_label
_atom_site_fract_x
_atom_site_fract_y
_atom_site_fract_z
Li1 0.250 0.250 0.116
Li2 0.250 0.750 0.500
Pr1 0.250 0.250 0.769
P1 0.250 0.250 0.351
P2 0.250 0.750 0.000
```

Peak list (12 most intense, 2θ from 10° to 90°, in order of rising 2θ)
h k l  two_theta  d/Å  I/Imax
0 0 2  17.74  5.001  44
1 0 1  23.02  3.864  100
1 0 2  27.78  3.211  18
1 1 0  30.17  2.962  41
1 0 3  34.38  2.609  63
1 1 2  35.21  2.549  90
2 0 0  43.19  2.095  34
2 1 1  49.50  1.841  27
1 0 5  50.56  1.805  21
2 1 3  56.33  1.633  30
2 1 5  68.63  1.367  17
3 1 2  74.03  1.281  20